Simulated powder XRD pattern
Compound: MnH2C2O4
Radiation: Cu Kα X-rays
Structure: the GGA+U geometry in the Materials Project
Kinematic intensities with the Lorentz-polarization factor, no thermal factor.

Atomic structure:
```
data_MnH2C2O4
_chemical_formula_sum 'Mn4 H8 C8 O16'
_cell_length_a 7.644
_cell_length_b 9.647
_cell_length_c 5.940
_cell_angle_alpha 90.00
_cell_angle_beta 90.00
_cell_angle_gamma 90.00
_space_group_name_H-M_alt 'P b c n'
_space_group_IT_number 60
loop_
_space_group_symop_operation_xyz
'x,y,z'
'-x,-y,-z'
'-x+1/2,-y+1/2,z+1/2'
'x+1/2,y+1/2,-z+1/2'
'x+1/2,-y+1/2,-z'
'-x+1/2,y+1/2,z'
'-x,y,-z+1/2'
'x,-y,z+1/2'
loop_
_atom_site_label
_atom_site_type_symbol
_atom_site_fract_x
_atom_site_fract_y
_atom_site_fract_z
Mn1 Mn 0.000 0.106 0.250
H1 H 0.165 0.412 0.191
C1 C 0.221 0.369 0.347
O1 O 0.152 0.063 0.935
O2 O 0.158 0.259 0.427
```

Largest 6 diffraction maxima, in order of rising 2θ, 10 to 80 degrees two-theta:
h k l, 2θ (°), d [Å], I (rel.)
1 1 0, 14.79, 5.991, 100
1 1 1, 21.06, 4.218, 51
1 2 1, 26.51, 3.363, 17
1 0 2, 32.34, 2.768, 16
2 2 1, 33.50, 2.675, 45
3 3 1, 48.03, 1.894, 24